# Er4CN3
Computed XRD peak list, CuKα. Input: a cell relaxed with PBE.

Most intense lines, 2θ from 10° to 90°, sorted by position:
- (1 1 1), 2θ = 31.69°, I = 100
- (2 0 0), 2θ = 36.76°, I = 69
- (2 2 0), 2θ = 52.97°, I = 48
- (3 1 1), 2θ = 63.05°, I = 44
- (2 2 2), 2θ = 66.21°, I = 16
- (4 0 0), 2θ = 78.19°, I = 7
- (3 3 1), 2θ = 86.82°, I = 19
- (4 2 0), 2θ = 89.67°, I = 22

Cell and atoms:
Unit cell a=4.8898 b=4.8898 c=4.8898 alpha=90.00 beta=90.00 gamma=90.00
Space group Pm-3m (No. 221)
Inequivalent atoms, fractional coordinates:
Er 0.0000 0.0000 0.0000 [1 per cell]
Er 0.0000 0.5000 0.5000 [3 per cell]
C 0.5000 0.5000 0.5000 [1 per cell]
N 0.0000 0.0000 0.5000 [3 per cell]

# Er4C2NO
Computed XRD peak list, CuKα. Input: a cell relaxed with PBE.

Most intense lines, 2θ from 10° to 90°, sorted by position:
- (1 1 2), 2θ = 31.52°, I = 100
- (0 0 4), 2θ = 36.37°, I = 23
- (2 0 0), 2θ = 36.65°, I = 46
- (2 0 4), 2θ = 52.59°, I = 32
- (2 2 0), 2θ = 52.80°, I = 16
- (1 1 6), 2θ = 62.43°, I = 15
- (3 1 2), 2θ = 62.81°, I = 30
- (2 2 4), 2θ = 65.81°, I = 16
- (3 1 6), 2θ = 86.14°, I = 13
- (4 2 0), 2θ = 89.34°, I = 7

Cell and atoms:
Unit cell a=4.9039 b=4.9039 c=9.8802 alpha=90.00 beta=90.00 gamma=90.00
Space group I-4m2 (No. 119)
Inequivalent atoms, fractional coordinates:
Er 0.0000 0.0000 0.2451 [4 per cell]
Er 0.0000 0.5000 0.0005 [4 per cell]
C 0.0000 0.0000 0.5000 [2 per cell]
C 0.0000 0.5000 0.7500 [2 per cell]
N 0.0000 0.0000 0.0000 [2 per cell]
O 0.0000 0.5000 0.2500 [2 per cell]

# NaErC2O6
Computed XRD peak list, CuKα. Input: a cell relaxed with PBE.

Most intense lines, 2θ from 10° to 90°, sorted by position:
- (1 1 0), 2θ = 15.16°, I = 100
- (0 2 0), 2θ = 17.73°, I = 29
- (0 2 1), 2θ = 22.29°, I = 24
- (0 0 2), 2θ = 26.96°, I = 36
- (1 1 -2), 2θ = 27.67°, I = 22
- (2 2 -1), 2θ = 30.38°, I = 43
- (1 3 -1), 2θ = 30.96°, I = 16
- (1 3 1), 2θ = 34.11°, I = 19
- (3 1 0), 2θ = 38.54°, I = 19
- (2 2 -3), 2θ = 45.30°, I = 22

Cell and atoms:
Unit cell a=7.5279 b=9.9963 c=6.9157 alpha=90.00 beta=106.95 gamma=90.00
Space group C2/c (No. 15)
Inequivalent atoms, fractional coordinates:
Na 0.0000 0.0998 0.2500 [4 per cell]
Er 0.0000 0.4215 0.7500 [4 per cell]
C 0.2306 0.3550 0.2419 [8 per cell]
O 0.0842 0.3889 0.0916 [8 per cell]
O 0.2006 0.0524 0.6282 [8 per cell]
O 0.2111 0.2659 0.7446 [8 per cell]